Structure and simulated XRD peak list of Ac2Re2Si2C (a structure optimized by DFT (PBE); copper Kα).
Kinematic intensities with the Lorentz-polarization factor, no thermal factor.

Largest 6 diffraction maxima, in order of falling intensity, 2θ from 15° to 90°:
2θ = 31.2°, d 2.864, rel. 100, hkl 3 1 -1
2θ = 33.0°, d 2.717, rel. 87, hkl 1 1 -2
2θ = 30.8°, d 2.906, rel. 44, hkl 2 0 1
2θ = 35.9°, d 2.499, rel. 33, hkl 3 1 0
2θ = 42.7°, d 2.117, rel. 28, hkl 0 2 0
2θ = 57.2°, d 1.610, rel. 21, hkl 1 1 3

Atomic structure:
a = 11.733 Å, b = 4.234 Å, c = 7.545 Å
α = 90.00°, β = 127.65°, γ = 90.00°
Space group C2/m (No. 12)
Symmetry-distinct sites (fractional):
1 Ac 0.063 0.000 0.307 (multiplicity 4)
2 Re 0.194 0.500 0.084 (multiplicity 4)
3 Si 0.182 0.500 0.747 (multiplicity 4)
4 C 0.000 0.500 0.000 (multiplicity 2)


Structure and simulated XRD peak list of AcRe2Si2C (a structure optimized by DFT (PBE); copper Kα).
Kinematic intensities with the Lorentz-polarization factor, no thermal factor.

Largest 6 diffraction maxima, in order of falling intensity, 2θ from 15° to 90°:
2θ = 34.1°, d 2.628, rel. 100, hkl 1 1 1
2θ = 42.8°, d 2.112, rel. 34, hkl 2 0 0
2θ = 32.4°, d 2.767, rel. 25, hkl 0 0 2
2θ = 72.8°, d 1.298, rel. 23, hkl 3 1 1
2θ = 54.7°, d 1.679, rel. 23, hkl 2 0 2
2θ = 26.5°, d 3.358, rel. 22, hkl 1 0 1

Atomic structure:
a = 4.224 Å, b = 4.224 Å, c = 5.533 Å
α = 90.00°, β = 90.00°, γ = 90.00°
Space group P4/mmm (No. 123)
Symmetry-distinct sites (fractional):
1 Ac 0.000 0.000 0.000 (multiplicity 1)
2 Re 0.000 0.500 0.500 (multiplicity 2)
3 Si 0.500 0.500 0.229 (multiplicity 2)
4 C 0.000 0.000 0.500 (multiplicity 1)


Structure and simulated XRD peak list of AcRuC (a structure optimized by DFT (PBE); copper Kα).
Kinematic intensities with the Lorentz-polarization factor, no thermal factor.

Largest 6 diffraction maxima, in order of falling intensity, 2θ from 15° to 90°:
2θ = 31.6°, d 2.831, rel. 100, hkl 1 1 1
2θ = 37.7°, d 2.386, rel. 67, hkl 0 1 2
2θ = 31.5°, d 2.843, rel. 51, hkl 0 1 0
2θ = 35.0°, d 2.564, rel. 41, hkl 0 0 2
2θ = 37.5°, d 2.397, rel. 34, hkl 1 0 1
2θ = 52.0°, d 1.758, rel. 28, hkl 2 1 0

Atomic structure:
a = 3.515 Å, b = 3.519 Å, c = 5.510 Å
α = 71.41°, β = 89.85°, γ = 60.24°
Space group P1 (No. 1)
Symmetry-distinct sites (fractional):
1 Ac 0.000 0.000 0.000 (multiplicity 1)
2 Ru 0.506 0.991 0.511 (multiplicity 1)
3 C 0.201 0.603 0.593 (multiplicity 1)


Structure and simulated XRD peak list of AcRuC2 (a structure optimized by DFT (PBE); copper Kα).
Kinematic intensities with the Lorentz-polarization factor, no thermal factor.

Largest 6 diffraction maxima, in order of falling intensity, 2θ from 15° to 90°:
2θ = 32.9°, d 2.720, rel. 100, hkl 1 1 2
2θ = 27.9°, d 3.201, rel. 97, hkl 1 0 3
2θ = 32.0°, d 2.799, rel. 86, hkl 1 0 4
2θ = 36.6°, d 2.453, rel. 76, hkl 1 0 5
2θ = 31.3°, d 2.859, rel. 66, hkl 1 1 1
2θ = 44.4°, d 2.040, rel. 56, hkl 2 0 1

Atomic structure:
a = 4.116 Å, b = 4.116 Å, c = 15.275 Å
α = 90.00°, β = 90.00°, γ = 90.00°
Space group P4_1 (No. 76)
Symmetry-distinct sites (fractional):
1 Ac 0.154 0.157 0.000 (multiplicity 4)
2 Ru 0.348 0.650 0.348 (multiplicity 4)
3 C 0.144 0.653 0.139 (multiplicity 4)
4 C 0.334 0.334 0.465 (multiplicity 4)


Structure and simulated XRD peak list of AcSiRu2C (a structure optimized by DFT (PBE); copper Kα).
Kinematic intensities with the Lorentz-polarization factor, no thermal factor.

Largest 6 diffraction maxima, in order of falling intensity, 2θ from 15° to 90°:
2θ = 33.7°, d 2.660, rel. 100, hkl 1 1 2
2θ = 32.1°, d 2.785, rel. 56, hkl 1 3 0
2θ = 34.5°, d 2.602, rel. 49, hkl 1 3 1
2θ = 34.1°, d 2.633, rel. 46, hkl 0 4 1
2θ = 40.4°, d 2.234, rel. 36, hkl 0 2 3
2θ = 29.1°, d 3.064, rel. 33, hkl 0 2 2

Atomic structure:
a = 4.141 Å, b = 11.291 Å, c = 7.297 Å
α = 90.00°, β = 90.00°, γ = 90.00°
Space group Cmcm (No. 63)
Symmetry-distinct sites (fractional):
1 Ac 0.000 0.054 0.250 (multiplicity 4)
2 Si 0.000 0.226 0.750 (multiplicity 4)
3 Ru 0.000 0.336 0.059 (multiplicity 8)
4 C 0.000 0.500 0.000 (multiplicity 4)


Structure and simulated XRD peak list of Ac2Sn2Ru2C (a structure optimized by DFT (PBE); copper Kα).
Kinematic intensities with the Lorentz-polarization factor, no thermal factor.

Largest 6 diffraction maxima, in order of falling intensity, 2θ from 15° to 90°:
2θ = 31.6°, d 2.836, rel. 100, hkl 1 1 -2
2θ = 34.8°, d 2.579, rel. 92, hkl 3 1 0
2θ = 29.8°, d 3.001, rel. 86, hkl 4 0 -2
2θ = 39.9°, d 2.259, rel. 56, hkl 0 2 0
2θ = 29.6°, d 3.021, rel. 53, hkl 1 1 1
2θ = 31.7°, d 2.820, rel. 49, hkl 3 1 -2

Atomic structure:
a = 12.194 Å, b = 4.518 Å, c = 7.857 Å
α = 90.00°, β = 129.39°, γ = 90.00°
Space group C2/m (No. 12)
Symmetry-distinct sites (fractional):
1 Ac 0.052 0.000 0.282 (multiplicity 4)
2 Sn 0.171 0.500 0.721 (multiplicity 4)
3 Ru 0.180 0.500 0.074 (multiplicity 4)
4 C 0.000 0.500 0.000 (multiplicity 2)


Structure and simulated XRD peak list of Ac4CS3 (a structure optimized by DFT (PBE); copper Kα).
Kinematic intensities with the Lorentz-polarization factor, no thermal factor.

Largest 6 diffraction maxima, in order of falling intensity, 2θ from 15° to 90°:
2θ = 29.6°, d 3.020, rel. 100, hkl 2 0 1
2θ = 25.7°, d 3.461, rel. 57, hkl 0 2 1
2θ = 25.3°, d 3.514, rel. 56, hkl 2 2 0
2θ = 42.3°, d 2.136, rel. 48, hkl 2 4 1
2θ = 50.4°, d 1.809, rel. 19, hkl 2 2 2
2θ = 69.6°, d 1.351, rel. 19, hkl 4 4 2

Atomic structure:
a = 8.637 Å, b = 12.094 Å, c = 4.221 Å
α = 90.00°, β = 90.00°, γ = 90.00°
Space group Cmmm (No. 65)
Symmetry-distinct sites (fractional):
1 Ac 0.000 0.235 0.000 (multiplicity 4)
2 Ac 0.225 0.000 0.500 (multiplicity 4)
3 C 0.000 0.000 0.000 (multiplicity 2)
4 S 0.000 0.500 0.000 (multiplicity 2)
5 S 0.250 0.250 0.500 (multiplicity 4)


Structure and simulated XRD peak list of Ac4CSe3 (a structure optimized by DFT (PBE); copper Kα).
Kinematic intensities with the Lorentz-polarization factor, no thermal factor.

Largest 6 diffraction maxima, in order of falling intensity, 2θ from 15° to 90°:
2θ = 28.7°, d 3.113, rel. 100, hkl 1 2 1
2θ = 28.8°, d 3.097, rel. 51, hkl 2 0 -2
2θ = 24.7°, d 3.598, rel. 42, hkl 1 2 -1
2θ = 41.6°, d 2.171, rel. 36, hkl 1 2 -3
2θ = 40.6°, d 2.221, rel. 34, hkl 3 2 -1
2θ = 25.3°, d 3.525, rel. 22, hkl 0 0 2

Atomic structure:
a = 7.707 Å, b = 8.842 Å, c = 7.476 Å
α = 90.00°, β = 109.43°, γ = 90.00°
Space group P2/c (No. 13)
Symmetry-distinct sites (fractional):
1 Ac 0.216 0.108 0.003 (multiplicity 4)
2 Ac 0.231 0.348 0.476 (multiplicity 4)
3 C 0.000 0.132 0.250 (multiplicity 2)
4 Se 0.000 0.378 0.750 (multiplicity 2)
5 Se 0.500 0.125 0.750 (multiplicity 2)
6 Se 0.500 0.377 0.250 (multiplicity 2)